No. 1
Computed powder XRD pattern
Compound: La5In11Ni6
Radiation: Cu Kα (λ = 1.5418 Å)
Structure: a PBE-relaxed structure
Lines closer than 0.1° are merged.

Top 10 peaks for 10 to 90 degrees two-theta, in order of rising 2θ:
d_spacing	Rel. int.
2.851	218
2.750	1000
2.660	317
2.465	328
2.434	165
2.238	356
2.207	165
2.092	144
1.657	191
1.472	181

Cell and atoms:
```
22
Lattice="7.394 -7.395 0.000 7.394 7.395 0.000 0.000 0.000 4.476" Properties=species:S:1:pos:R:3 pbc="T T T"
La 0.000 0.000 0.000
La 4.817 2.027 2.238
La 4.817 -2.027 2.238
La 9.972 2.027 2.238
La 9.972 -2.027 2.238
In 5.103 4.560 0.000
In 7.394 4.523 2.238
In 3.326 0.000 0.000
In 7.394 2.387 0.000
In 9.685 4.560 0.000
In 7.394 0.000 2.238
In 5.103 -4.560 0.000
In 7.394 -2.387 0.000
In 11.462 0.000 0.000
In 7.394 -4.523 2.238
In 9.685 -4.560 0.000
Ni 2.059 1.234 2.238
Ni 2.059 -1.234 2.238
Ni 6.019 0.000 0.000
Ni 8.770 0.000 0.000
Ni 12.730 1.234 2.238
Ni 12.730 -1.234 2.238
```

No. 2
Computed powder XRD pattern
Compound: La2Cu5Ni5
Radiation: Cu Kα (λ = 1.5418 Å)
Structure: a PBE-relaxed structure
Lines closer than 0.1° are merged.

Top 10 peaks for 10 to 90 degrees two-theta, in order of rising 2θ:
d_spacing	Rel. int.
2.972	446
2.509	281
2.173	361
2.136	1000
2.037	285
1.581	132
1.486	205
1.365	220
1.254	160
1.194	140

Cell and atoms:
```
12
Lattice="4.074 0.000 0.000 0.000 5.020 0.000 0.000 0.000 8.688" Properties=species:S:1:pos:R:3 pbc="T T T"
La 0.000 0.000 0.000
La 0.000 2.510 4.344
Cu 2.037 0.000 4.344
Cu 2.037 1.259 2.162
Cu 2.037 1.259 6.526
Cu 2.037 3.760 2.162
Cu 2.037 3.760 6.526
Ni 0.000 0.000 2.912
Ni 0.000 0.000 5.776
Ni 0.000 2.510 1.405
Ni 0.000 2.510 7.282
Ni 2.037 2.510 0.000
```

No. 3
Computed powder XRD pattern
Compound: TmFeAu
Radiation: Cu Kα (λ = 1.5418 Å)
Structure: a PBE-relaxed structure
Lines closer than 0.1° are merged.

Top 10 peaks for 10 to 90 degrees two-theta, in order of rising 2θ:
d_spacing	Rel. int.
3.621	62
3.136	667
2.218	1000
1.891	29
1.811	192
1.568	168
1.439	11
1.403	255
1.280	342
1.109	114

Cell and atoms:
```
3
Lattice="0.000 3.136 3.136 3.136 0.000 3.136 3.136 3.136 0.000" Properties=species:S:1:pos:R:3 pbc="T T T"
Tm 0.000 0.000 0.000
Fe 4.704 4.704 4.704
Au 3.136 3.136 3.136
```

No. 4
Computed powder XRD pattern
Compound: Sm4CBr2F3
Radiation: Cu Kα (λ = 1.5418 Å)
Structure: a PBE-relaxed structure
Lines closer than 0.1° are merged.

Top 10 peaks for 10 to 90 degrees two-theta, in order of rising 2θ:
d_spacing	Rel. int.
8.384	338
6.945	744
3.222	404
3.052	321
2.795	591
2.539	1000
2.436	352
1.887	346
1.871	265
1.526	275

Cell and atoms:
```
10
Lattice="8.548 -1.821 0.000 8.548 1.821 0.000 -1.380 0.000 6.945" Properties=species:S:1:pos:R:3 pbc="T T T"
Sm -0.281 0.000 1.680
Sm 4.785 0.000 6.385
Sm 10.931 0.000 0.560
Sm 15.998 0.000 5.265
C 8.548 0.000 0.000
Br 1.876 0.000 5.340
Br 13.841 0.000 1.606
F 2.093 0.000 2.058
F 7.858 0.000 3.473
F 13.624 0.000 4.887
```